[1]
The following is a theoretical PXRD pattern of NdTc2O8. It was derived from the PBE geometry in OQMD, using Cu Kα, 1.54184 Å.

Largest 10 diffraction maxima, most intense first, 2θ = 10–90°:
| two_theta | intensity | hkl |
| --- | --- | --- |
| 26.22 | 100 | 2 2 0 |
| 15.97 | 55 | 1 1 1 |
| 46.26 | 39 | 4 2 2 |
| 73.75 | 21 | 6 4 2 |
| 40.92 | 21 | 3 3 1 |
| 53.95 | 20 | 4 4 0 |
| 60.95 | 16 | 6 2 0 |
| 85.75 | 11 | 6 6 0 |
| 30.85 | 10 | 3 1 1 |
| 56.64 | 9 | 5 3 1 |

```
data_NdTc2O8
_symmetry_space_group_name_H-M 'F m -3 m'
_symmetry_Int_Tables_number 225
_symmetry_space_group_name_Hall '-F 4 2 3'
_cell_length_a 9.614
_cell_length_b 9.614
_cell_length_c 9.614
_cell_angle_alpha 90.00
_cell_angle_beta 90.00
_cell_angle_gamma 90.00
loop_
_atom_site_label
_atom_site_fract_x
_atom_site_fract_y
_atom_site_fract_z
_atom_site_occupancy
Nd1 0.000 0.000 0.000 1
Tc1 0.250 0.250 0.250 1
O1 0.145 0.145 0.145 1
```



[2]
The following is a theoretical PXRD pattern of Sc3CoSb4. It was derived from the PBE geometry in OQMD, using Cu Kα, 1.54184 Å.

Largest 10 diffraction maxima, most intense first, 2θ = 10–90°:
| two_theta | intensity | hkl |
| --- | --- | --- |
| 28.62 | 100 | 1 1 1 |
| 37.41 | 64 | 2 1 -1 |
| 44.09 | 31 | 0 1 3 |
| 28.49 | 22 | 1 0 -2 |
| 44.23 | 17 | 0 2 0 |
| 49.16 | 15 | 3 1 1 |
| 53.44 | 10 | 1 2 -2 |
| 74.35 | 10 | 4 1 3 |
| 27.32 | 9 | 2 0 0 |
| 76.80 | 8 | 2 3 -1 |

```
data_Sc3CoSb4
_symmetry_space_group_name_H-M 'P 1 m 1'
_symmetry_Int_Tables_number 6
_symmetry_space_group_name_Hall 'P -2y'
_cell_length_a 6.530
_cell_length_b 4.095
_cell_length_c 7.123
_cell_angle_alpha 90.00
_cell_angle_beta 90.30
_cell_angle_gamma 90.00
loop_
_atom_site_label
_atom_site_fract_x
_atom_site_fract_y
_atom_site_fract_z
_atom_site_occupancy
Sc1 0.000 0.000 0.000 1
Sc2 0.004 0.500 0.508 1
Sc3 0.503 0.500 0.497 1
Co1 0.502 0.000 0.008 1
Sb1 0.268 0.000 0.686 1
Sb2 0.286 0.500 0.145 1
Sb3 0.707 0.500 0.861 1
Sb4 0.748 0.000 0.324 1
```



[3]
The following is a theoretical PXRD pattern of LiIn2AgS4. It was derived from the PBE geometry in OQMD, using Cu Kα, 1.54184 Å.

Largest 10 diffraction maxima, most intense first, 2θ = 10–90°:
| two_theta | intensity | hkl |
| --- | --- | --- |
| 26.70 | 100 | 1 1 2 |
| 44.44 | 39 | 2 0 4 |
| 52.23 | 29 | 3 1 2 |
| 17.10 | 24 | 1 0 1 |
| 44.01 | 20 | 2 2 0 |
| 52.98 | 15 | 1 1 6 |
| 81.24 | 13 | 4 2 4 |
| 71.26 | 12 | 3 1 6 |
| 30.73 | 12 | 2 0 0 |
| 35.38 | 9 | 1 2 1 |

```
data_LiIn2AgS4
_symmetry_space_group_name_H-M 'I -4'
_symmetry_Int_Tables_number 82
_symmetry_space_group_name_Hall 'I -4'
_cell_length_a 5.819
_cell_length_b 5.819
_cell_length_c 11.427
_cell_angle_alpha 90.00
_cell_angle_beta 90.00
_cell_angle_gamma 90.00
loop_
_atom_site_label
_atom_site_fract_x
_atom_site_fract_y
_atom_site_fract_z
_atom_site_occupancy
Li1 0.000 0.000 0.000 1
In1 0.000 0.000 0.500 1
In2 0.000 0.500 0.250 1
Ag1 0.000 0.500 0.750 1
S1 0.241 0.748 0.121 1
```



[4]
The following is a theoretical PXRD pattern of PrSm2Mg3AgHg2. It was derived from the PBE geometry in OQMD, using Cu Kα, 1.54184 Å.

Largest 10 diffraction maxima, most intense first, 2θ = 10–90°:
| two_theta | intensity | hkl |
| --- | --- | --- |
| 30.76 | 100 | 1 0 2 |
| 33.47 | 94 | 1 2 2 |
| 22.40 | 52 | 0 3 1 |
| 39.32 | 42 | 0 3 3 |
| 40.65 | 33 | 1 5 1 |
| 12.88 | 28 | 0 2 0 |
| 62.81 | 26 | 1 8 2 |
| 59.15 | 25 | 2 3 3 |
| 42.33 | 23 | 2 0 0 |
| 34.52 | 21 | 0 5 1 |

```
data_PrSm2Mg3AgHg2
_symmetry_space_group_name_H-M 'A m m 2'
_symmetry_Int_Tables_number 38
_symmetry_space_group_name_Hall 'A 2 -2'
_cell_length_a 4.270
_cell_length_b 13.756
_cell_length_c 7.934
_cell_angle_alpha 90.00
_cell_angle_beta 90.00
_cell_angle_gamma 90.00
loop_
_atom_site_label
_atom_site_fract_x
_atom_site_fract_y
_atom_site_fract_z
_atom_site_occupancy
Pr1 0.000 0.000 0.000 1
Sm1 0.000 0.205 0.385 1
Mg1 0.500 0.000 0.350 1
Mg2 0.500 0.121 0.710 1
Ag1 0.000 0.000 0.589 1
Hg1 0.500 0.168 0.091 1
```



[5]
The following is a theoretical PXRD pattern of Pr3In3NiPtAu. It was derived from the PBE geometry in OQMD, using Cu Kα, 1.54184 Å.

Largest 10 diffraction maxima, most intense first, 2θ = 10–90°:
| two_theta | intensity | hkl |
| --- | --- | --- |
| 31.95 | 100 | 1 1 1 |
| 34.64 | 80 | 2 0 1 |
| 34.94 | 55 | 1 2 0 |
| 39.80 | 33 | 3 0 0 |
| 41.79 | 30 | 2 1 1 |
| 64.11 | 25 | 2 3 1 |
| 58.48 | 25 | 1 2 2 |
| 45.33 | 23 | 0 0 2 |
| 67.35 | 18 | 1 4 1 |
| 61.88 | 18 | 3 0 2 |

```
data_Pr3In3NiPtAu
_symmetry_space_group_name_H-M 'P -6'
_symmetry_Int_Tables_number 174
_symmetry_space_group_name_Hall 'P -6'
_cell_length_a 7.8462
_cell_length_b 7.8462
_cell_length_c 4.0012
_cell_angle_alpha 90.00
_cell_angle_beta 90.00
_cell_angle_gamma 120.00
loop_
_atom_site_label
_atom_site_fract_x
_atom_site_fract_y
_atom_site_fract_z
_atom_site_occupancy
Pr1 0.0112 0.5956 0.0000 1
In1 0.2400 0.0009 0.5000 1
Ni1 0.0000 0.0000 0.0000 1
Pt1 0.3333 0.6667 0.5000 1
Au1 0.6667 0.3333 0.5000 1
```



[6]
The following is a theoretical PXRD pattern of Nd3MgIn3AgPd. It was derived from the PBE geometry in OQMD, using Cu Kα, 1.54184 Å.

Largest 10 diffraction maxima, most intense first, 2θ = 10–90°:
| two_theta | intensity | hkl |
| --- | --- | --- |
| 31.38 | 100 | 1 1 1 |
| 34.01 | 85 | 2 0 1 |
| 34.25 | 50 | 2 1 0 |
| 62.78 | 33 | 3 2 1 |
| 39.01 | 33 | 3 0 0 |
| 41.01 | 28 | 1 2 1 |
| 44.60 | 23 | 0 0 2 |
| 57.41 | 22 | 2 1 2 |
| 12.78 | 20 | 1 0 0 |
| 60.72 | 17 | 3 0 2 |

```
data_Nd3MgIn3AgPd
_symmetry_space_group_name_H-M 'P -6'
_symmetry_Int_Tables_number 174
_symmetry_space_group_name_Hall 'P -6'
_cell_length_a 7.9991
_cell_length_b 7.9991
_cell_length_c 4.0631
_cell_angle_alpha 90.00
_cell_angle_beta 90.00
_cell_angle_gamma 120.00
loop_
_atom_site_label
_atom_site_fract_x
_atom_site_fract_y
_atom_site_fract_z
_atom_site_occupancy
Nd1 0.0849 0.7273 0.0000 1
Mg1 0.0000 0.0000 0.5000 1
In1 0.4045 0.0775 0.5000 1
Ag1 0.6667 0.3333 0.0000 1
Pd1 0.3333 0.6667 0.5000 1
```